[1]
Diffraction record for Bi12PbO19. The X-ray powder pattern is simulated, not measured: it uses a crystal structure in the Materials Project, relaxed with PBE and Cu Ka.
Peak positions follow from Bragg's law for the DFT cell and can differ from measured ones.

Main lines, by angle (10° ≤ 2θ ≤ 80°):
2θ/deg, d_spacing, Rel. int.
24.01, 3.706, 14
26.97, 3.306, 71
27.19, 3.280, 100
29.59, 3.019, 36
31.97, 2.799, 71
32.20, 2.780, 25
32.50, 2.755, 25
50.84, 1.796, 30
51.47, 1.775, 24
52.75, 1.735, 26
54.09, 1.696, 16
54.29, 1.690, 14

Cell and atoms:
```
data_Bi12PbO19
_chemical_formula_sum 'Bi12 Pb1 O19'
_cell_length_a 9.058
_cell_length_b 9.058
_cell_length_c 9.058
_cell_angle_alpha 109.82
_cell_angle_beta 109.82
_cell_angle_gamma 109.82
_space_group_name_H-M_alt 'P 1'
_space_group_IT_number 1
loop_
_space_group_symop_operation_xyz
'x,y,z'
loop_
_atom_site_label
_atom_site_type_symbol
_atom_site_fract_x
_atom_site_fract_y
_atom_site_fract_z
Bi1 Bi 0.017 0.169 0.813
Bi2 Bi 0.161 0.475 0.633
Bi3 Bi 0.169 0.813 0.017
Bi4 Bi 0.193 0.998 0.499
Bi5 Bi 0.475 0.633 0.161
Bi6 Bi 0.499 0.193 0.998
Bi7 Bi 0.531 0.829 0.658
Bi8 Bi 0.633 0.161 0.475
Bi9 Bi 0.658 0.531 0.829
Bi10 Bi 0.813 0.017 0.169
Bi11 Bi 0.829 0.658 0.531
Bi12 Bi 0.998 0.499 0.193
Pb1 Pb 0.296 0.296 0.296
O1 O 0.073 0.962 0.711
O2 O 0.098 0.717 0.453
O3 O 0.222 0.593 0.984
O4 O 0.338 0.968 0.339
O5 O 0.339 0.338 0.968
O6 O 0.341 0.356 0.576
O7 O 0.356 0.576 0.341
O8 O 0.453 0.098 0.717
O9 O 0.576 0.341 0.356
O10 O 0.585 0.704 0.968
O11 O 0.593 0.984 0.222
O12 O 0.704 0.968 0.585
O13 O 0.711 0.073 0.962
O14 O 0.717 0.453 0.098
O15 O 0.724 0.724 0.724
O16 O 0.962 0.711 0.073
O17 O 0.968 0.339 0.338
O18 O 0.968 0.585 0.704
O19 O 0.984 0.222 0.593
```

---

[2]
Diffraction record for Bi10Pb6O21. The X-ray powder pattern is simulated, not measured: it uses a crystal structure in the Materials Project, relaxed with PBE and Cu Ka.
Peak positions follow from Bragg's law for the DFT cell and can differ from measured ones.

Main lines, by angle (10° ≤ 2θ ≤ 80°):
2θ/deg, d_spacing, Rel. int.
27.75, 3.214, 96
28.05, 3.181, 72
28.13, 3.172, 100
28.51, 3.131, 71
28.66, 3.114, 76
29.46, 3.032, 90
30.89, 2.894, 23
38.75, 2.324, 28
41.52, 2.175, 29
41.63, 2.170, 29
51.02, 1.790, 29
51.24, 1.783, 27

Cell and atoms:
```
data_Bi10Pb6O21
_chemical_formula_sum 'Bi10 Pb6 O21'
_cell_length_a 7.360
_cell_length_b 7.650
_cell_length_c 14.396
_cell_angle_alpha 92.41
_cell_angle_beta 97.40
_cell_angle_gamma 118.35
_space_group_name_H-M_alt 'P 1'
_space_group_IT_number 1
loop_
_space_group_symop_operation_xyz
'x,y,z'
loop_
_atom_site_label
_atom_site_type_symbol
_atom_site_fract_x
_atom_site_fract_y
_atom_site_fract_z
Bi1 Bi 0.007 0.313 0.073
Bi2 Bi 0.014 0.235 0.545
Bi3 Bi 0.147 0.932 0.187
Bi4 Bi 0.242 0.515 0.325
Bi5 Bi 0.434 0.231 0.976
Bi6 Bi 0.566 0.769 0.024
Bi7 Bi 0.758 0.485 0.675
Bi8 Bi 0.853 0.068 0.813
Bi9 Bi 0.986 0.765 0.455
Bi10 Bi 0.993 0.687 0.927
Pb1 Pb 0.227 0.984 0.707
Pb2 Pb 0.303 0.526 0.794
Pb3 Pb 0.475 0.213 0.443
Pb4 Pb 0.525 0.787 0.557
Pb5 Pb 0.697 0.474 0.206
Pb6 Pb 0.773 0.016 0.293
O1 O 0.015 0.917 0.325
O2 O 0.035 0.678 0.622
O3 O 0.043 0.177 0.196
O4 O 0.091 0.599 0.210
O5 O 0.167 0.262 0.879
O6 O 0.190 0.963 0.027
O7 O 0.214 0.054 0.533
O8 O 0.284 0.758 0.428
O9 O 0.309 0.749 0.900
O10 O 0.401 0.410 0.083
O11 O 0.500 0.500 0.500
O12 O 0.599 0.590 0.917
O13 O 0.691 0.251 0.100
O14 O 0.716 0.242 0.572
O15 O 0.786 0.946 0.467
O16 O 0.810 0.037 0.973
O17 O 0.833 0.738 0.121
O18 O 0.909 0.401 0.790
O19 O 0.957 0.823 0.804
O20 O 0.965 0.322 0.378
O21 O 0.985 0.083 0.675
```

---

[3]
Diffraction record for Ti5Bi4Pb2O18. The X-ray powder pattern is simulated, not measured: it uses a crystal structure in the Materials Project, relaxed with PBE and Cu Ka.
Peak positions follow from Bragg's law for the DFT cell and can differ from measured ones.

Main lines, by angle (10° ≤ 2θ ≤ 80°):
2θ/deg, d_spacing, Rel. int.
17.81, 4.980, 18
21.42, 4.149, 24
22.55, 3.943, 31
22.97, 3.871, 29
30.00, 2.979, 100
30.33, 2.947, 100
32.20, 2.780, 46
32.41, 2.762, 45
39.00, 2.310, 25
39.18, 2.299, 26
45.88, 1.978, 24
46.79, 1.942, 24

Cell and atoms:
```
data_Ti5Bi4Pb2O18
_chemical_formula_sum 'Ti10 Bi8 Pb4 O36'
_cell_length_a 25.054
_cell_length_b 25.054
_cell_length_c 5.525
_cell_angle_alpha 90.12
_cell_angle_beta 90.12
_cell_angle_gamma 167.26
_space_group_name_H-M_alt 'P 1'
_space_group_IT_number 1
loop_
_space_group_symop_operation_xyz
'x,y,z'
loop_
_atom_site_label
_atom_site_type_symbol
_atom_site_fract_x
_atom_site_fract_y
_atom_site_fract_z
Ti1 Ti 0.080 0.920 0.500
Ti2 Ti 0.176 0.843 0.501
Ti3 Ti 0.256 0.755 0.509
Ti4 Ti 0.328 0.663 0.501
Ti5 Ti 0.435 0.595 0.511
Ti6 Ti 0.595 0.435 0.011
Ti7 Ti 0.663 0.328 0.001
Ti8 Ti 0.755 0.256 0.009
Ti9 Ti 0.843 0.176 0.001
Ti10 Ti 0.920 0.080 0.000
Bi1 Bi 0.011 0.062 0.537
Bi2 Bi 0.062 0.011 0.037
Bi3 Bi 0.165 0.928 0.988
Bi4 Bi 0.345 0.758 0.992
Bi5 Bi 0.513 0.564 0.981
Bi6 Bi 0.564 0.513 0.481
Bi7 Bi 0.758 0.345 0.492
Bi8 Bi 0.928 0.165 0.488
Pb1 Pb 0.229 0.811 0.001
Pb2 Pb 0.398 0.644 0.006
Pb3 Pb 0.644 0.398 0.506
Pb4 Pb 0.811 0.229 0.501
O1 O 0.016 0.347 0.724
O2 O 0.035 0.945 0.461
O3 O 0.084 0.436 0.228
O4 O 0.123 0.863 0.571
O5 O 0.145 0.316 0.278
O6 O 0.150 0.330 0.763
O7 O 0.164 0.744 0.475
O8 O 0.260 0.680 0.581
O9 O 0.271 0.273 0.267
O10 O 0.273 0.271 0.767
O11 O 0.316 0.145 0.778
O12 O 0.321 0.581 0.478
O13 O 0.330 0.150 0.263
O14 O 0.347 0.016 0.224
O15 O 0.436 0.084 0.728
O16 O 0.455 0.545 0.561
O17 O 0.468 0.975 0.774
O18 O 0.474 0.966 0.267
O19 O 0.515 0.851 0.808
O20 O 0.545 0.455 0.061
O21 O 0.571 0.917 0.291
O22 O 0.581 0.321 0.978
O23 O 0.656 0.838 0.761
O24 O 0.658 0.828 0.263
O25 O 0.680 0.260 0.081
O26 O 0.744 0.164 0.975
O27 O 0.772 0.774 0.256
O28 O 0.774 0.772 0.756
O29 O 0.828 0.658 0.763
O30 O 0.838 0.656 0.261
O31 O 0.851 0.515 0.308
O32 O 0.863 0.123 0.071
O33 O 0.917 0.571 0.791
O34 O 0.945 0.035 0.961
O35 O 0.966 0.474 0.767
O36 O 0.975 0.468 0.274
```

---

[4]
Diffraction record for Ti10BiPb9O30. The X-ray powder pattern is simulated, not measured: it uses a crystal structure in the Materials Project, relaxed with PBE and Cu Ka.
Peak positions follow from Bragg's law for the DFT cell and can differ from measured ones.

Main lines, by angle (10° ≤ 2θ ≤ 80°):
2θ/deg, d_spacing, Rel. int.
20.73, 4.284, 25
22.67, 3.923, 35
30.91, 2.893, 100
32.27, 2.774, 44
38.67, 2.328, 27
42.19, 2.142, 12
46.28, 1.962, 26
48.42, 1.880, 15
51.22, 1.784, 11
54.09, 1.695, 21
56.70, 1.624, 37
64.41, 1.447, 10

Cell and atoms:
```
data_Ti10BiPb9O30
_chemical_formula_sum 'Ti10 Bi1 Pb9 O30'
_cell_length_a 8.772
_cell_length_b 8.773
_cell_length_c 9.424
_cell_angle_alpha 79.26
_cell_angle_beta 68.14
_cell_angle_gamma 89.97
_space_group_name_H-M_alt 'P 1'
_space_group_IT_number 1
loop_
_space_group_symop_operation_xyz
'x,y,z'
loop_
_atom_site_label
_atom_site_type_symbol
_atom_site_fract_x
_atom_site_fract_y
_atom_site_fract_z
Ti1 Ti 0.000 0.000 0.000
Ti2 Ti 0.002 0.500 0.499
Ti3 Ti 0.196 0.103 0.499
Ti4 Ti 0.201 0.600 0.000
Ti5 Ti 0.398 0.695 0.499
Ti6 Ti 0.402 0.199 0.000
Ti7 Ti 0.602 0.801 0.000
Ti8 Ti 0.605 0.305 0.499
Ti9 Ti 0.801 0.399 0.000
Ti10 Ti 0.807 0.897 0.499
Bi1 Bi 0.582 0.040 0.299
Pb1 Pb 0.191 0.345 0.773
Pb2 Pb 0.198 0.846 0.265
Pb3 Pb 0.391 0.945 0.773
Pb4 Pb 0.394 0.444 0.264
Pb5 Pb 0.593 0.545 0.773
Pb6 Pb 0.792 0.146 0.772
Pb7 Pb 0.796 0.649 0.265
Pb8 Pb 0.992 0.744 0.773
Pb9 Pb 0.993 0.248 0.264
O1 O 0.018 0.008 0.457
O2 O 0.018 0.507 0.958
O3 O 0.117 0.808 0.959
O4 O 0.118 0.558 0.208
O5 O 0.120 0.059 0.706
O6 O 0.123 0.310 0.456
O7 O 0.217 0.108 0.959
O8 O 0.217 0.613 0.456
O9 O 0.318 0.408 0.958
O10 O 0.318 0.659 0.706
O11 O 0.322 0.158 0.208
O12 O 0.327 0.914 0.449
O13 O 0.418 0.708 0.959
O14 O 0.425 0.204 0.448
O15 O 0.518 0.008 0.956
O16 O 0.518 0.258 0.706
O17 O 0.518 0.508 0.457
O18 O 0.519 0.762 0.208
O19 O 0.618 0.816 0.449
O20 O 0.619 0.309 0.956
O21 O 0.716 0.106 0.449
O22 O 0.718 0.355 0.207
O23 O 0.718 0.608 0.959
O24 O 0.718 0.858 0.706
O25 O 0.819 0.908 0.956
O26 O 0.820 0.404 0.456
O27 O 0.914 0.707 0.456
O28 O 0.914 0.959 0.208
O29 O 0.918 0.459 0.707
O30 O 0.919 0.209 0.956
```

---

[5]
Diffraction record for Ti5ZnBi2Pb4O18. The X-ray powder pattern is simulated, not measured: it uses a crystal structure in the Materials Project, relaxed with PBE and Cu Ka.
Peak positions follow from Bragg's law for the DFT cell and can differ from measured ones.

Main lines, by angle (10° ≤ 2θ ≤ 80°):
2θ/deg, d_spacing, Rel. int.
19.25, 4.610, 27
23.06, 3.856, 29
30.21, 2.958, 100
32.78, 2.732, 20
32.91, 2.722, 19
38.29, 2.350, 15
38.41, 2.344, 14
45.86, 1.979, 16
47.13, 1.928, 23
51.91, 1.762, 17
56.93, 1.617, 17
57.10, 1.613, 16

Cell and atoms:
```
data_Ti5ZnBi2Pb4O18
_chemical_formula_sum 'Ti5 Zn1 Bi2 Pb4 O18'
_cell_length_a 6.005
_cell_length_b 6.005
_cell_length_c 14.283
_cell_angle_alpha 98.67
_cell_angle_beta 98.67
_cell_angle_gamma 54.12
_space_group_name_H-M_alt 'P 1'
_space_group_IT_number 1
loop_
_space_group_symop_operation_xyz
'x,y,z'
loop_
_atom_site_label
_atom_site_type_symbol
_atom_site_fract_x
_atom_site_fract_y
_atom_site_fract_z
Ti1 Ti 0.000 0.000 0.000
Ti2 Ti 0.001 0.001 0.507
Ti3 Ti 0.335 0.335 0.840
Ti4 Ti 0.665 0.665 0.171
Ti5 Ti 0.669 0.669 0.672
Zn1 Zn 0.360 0.360 0.338
Bi1 Bi 0.043 0.043 0.246
Bi2 Bi 0.700 0.700 0.401
Pb1 Pb 0.018 0.018 0.746
Pb2 Pb 0.347 0.347 0.576
Pb3 Pb 0.355 0.355 0.092
Pb4 Pb 0.684 0.684 0.912
O1 O 0.114 0.637 0.444
O2 O 0.118 0.118 0.432
O3 O 0.130 0.130 0.938
O4 O 0.139 0.636 0.941
O5 O 0.295 0.817 0.107
O6 O 0.303 0.802 0.606
O7 O 0.465 0.465 0.777
O8 O 0.469 0.966 0.274
O9 O 0.470 0.968 0.774
O10 O 0.492 0.492 0.261
O11 O 0.636 0.139 0.941
O12 O 0.637 0.114 0.444
O13 O 0.797 0.797 0.610
O14 O 0.800 0.800 0.114
O15 O 0.802 0.303 0.606
O16 O 0.817 0.295 0.107
O17 O 0.966 0.469 0.274
O18 O 0.968 0.470 0.774
```

---

[6]
Diffraction record for BiPd2O4. The X-ray powder pattern is simulated, not measured: it uses a crystal structure in the Materials Project, relaxed with PBE and Cu Ka.
Peak positions follow from Bragg's law for the DFT cell and can differ from measured ones.

Main lines, by angle (10° ≤ 2θ ≤ 80°):
2θ/deg, d_spacing, Rel. int.
26.49, 3.365, 53
26.63, 3.347, 42
26.84, 3.321, 51
29.22, 3.056, 60
29.57, 3.021, 50
30.19, 2.960, 64
31.24, 2.863, 100
31.96, 2.800, 68
33.55, 2.671, 65
33.74, 2.656, 81
34.24, 2.619, 90
35.85, 2.505, 38

Cell and atoms:
```
data_BiPd2O4
_chemical_formula_sum 'Bi2 Pd4 O8'
_cell_length_a 5.789
_cell_length_b 6.176
_cell_length_c 6.519
_cell_angle_alpha 114.89
_cell_angle_beta 95.77
_cell_angle_gamma 111.71
_space_group_name_H-M_alt 'P 1'
_space_group_IT_number 1
loop_
_space_group_symop_operation_xyz
'x,y,z'
loop_
_atom_site_label
_atom_site_type_symbol
_atom_site_fract_x
_atom_site_fract_y
_atom_site_fract_z
Bi1 Bi 0.141 0.260 0.351
Bi2 Bi 0.859 0.740 0.649
Pd1 Pd 0.000 0.500 0.000
Pd2 Pd 0.500 0.000 0.000
Pd3 Pd 0.500 0.000 0.500
Pd4 Pd 0.500 0.500 0.000
O1 O 0.123 0.855 0.011
O2 O 0.162 0.640 0.354
O3 O 0.356 0.104 0.772
O4 O 0.481 0.626 0.753
O5 O 0.519 0.374 0.247
O6 O 0.644 0.896 0.228
O7 O 0.838 0.360 0.646
O8 O 0.877 0.145 0.989
```

---

[7]
Diffraction record for BiPd2O4. The X-ray powder pattern is simulated, not measured: it uses a crystal structure in the Materials Project, relaxed with PBE and Cu Ka.
Peak positions follow from Bragg's law for the DFT cell and can differ from measured ones.

Main lines, by angle (10° ≤ 2θ ≤ 80°):
2θ/deg, d_spacing, Rel. int.
18.20, 4.873, 43
26.77, 3.330, 39
32.56, 2.750, 100
36.89, 2.437, 26
39.51, 2.281, 11
41.43, 2.179, 14
43.82, 2.066, 12
46.16, 1.966, 18
53.16, 1.723, 16
55.16, 1.665, 28
63.74, 1.460, 29
67.30, 1.391, 12

Cell and atoms:
```
data_BiPd2O4
_chemical_formula_sum 'Bi2 Pd4 O8'
_cell_length_a 6.892
_cell_length_b 6.892
_cell_length_c 4.562
_cell_angle_alpha 90.00
_cell_angle_beta 90.00
_cell_angle_gamma 90.00
_space_group_name_H-M_alt 'P 1'
_space_group_IT_number 1
loop_
_space_group_symop_operation_xyz
'x,y,z'
loop_
_atom_site_label
_atom_site_type_symbol
_atom_site_fract_x
_atom_site_fract_y
_atom_site_fract_z
Bi1 Bi 0.250 0.250 0.010
Bi2 Bi 0.750 0.750 0.990
Pd1 Pd 0.000 0.000 0.500
Pd2 Pd 0.000 0.500 0.500
Pd3 Pd 0.500 0.000 0.500
Pd4 Pd 0.500 0.500 0.500
O1 O 0.026 0.750 0.725
O2 O 0.250 0.526 0.275
O3 O 0.250 0.974 0.275
O4 O 0.474 0.750 0.725
O5 O 0.526 0.250 0.275
O6 O 0.750 0.026 0.725
O7 O 0.750 0.474 0.725
O8 O 0.974 0.250 0.275
```

---

[8]
Diffraction record for Bi2PdSe4O12. The X-ray powder pattern is simulated, not measured: it uses a crystal structure in the Materials Project, relaxed with PBE and Cu Ka.
Peak positions follow from Bragg's law for the DFT cell and can differ from measured ones.

Main lines, by angle (10° ≤ 2θ ≤ 80°):
2θ/deg, d_spacing, Rel. int.
14.87, 5.959, 29
16.89, 5.250, 50
26.59, 3.352, 32
26.96, 3.307, 100
27.16, 3.283, 81
27.48, 3.246, 78
28.76, 3.105, 39
29.54, 3.023, 60
30.88, 2.896, 57
35.34, 2.540, 30
45.74, 1.984, 36
50.36, 1.812, 32

Cell and atoms:
```
data_Bi2PdSe4O12
_chemical_formula_sum 'Bi4 Pd2 Se8 O24'
_cell_length_a 10.933
_cell_length_b 7.310
_cell_length_c 8.248
_cell_angle_alpha 90.00
_cell_angle_beta 109.79
_cell_angle_gamma 90.00
_space_group_name_H-M_alt 'P 1'
_space_group_IT_number 1
loop_
_space_group_symop_operation_xyz
'x,y,z'
loop_
_atom_site_label
_atom_site_type_symbol
_atom_site_fract_x
_atom_site_fract_y
_atom_site_fract_z
Bi1 Bi 0.093 0.123 0.244
Bi2 Bi 0.093 0.377 0.744
Bi3 Bi 0.907 0.623 0.256
Bi4 Bi 0.907 0.877 0.756
Pd1 Pd 0.500 0.000 0.500
Pd2 Pd 0.500 0.500 0.000
Se1 Se 0.186 0.673 0.138
Se2 Se 0.186 0.827 0.638
Se3 Se 0.365 0.168 0.112
Se4 Se 0.365 0.332 0.612
Se5 Se 0.635 0.668 0.388
Se6 Se 0.635 0.832 0.888
Se7 Se 0.814 0.173 0.362
Se8 Se 0.814 0.327 0.862
O1 O 0.072 0.645 0.581
O2 O 0.072 0.855 0.081
O3 O 0.093 0.511 0.196
O4 O 0.093 0.989 0.696
O5 O 0.177 0.618 0.930
O6 O 0.177 0.882 0.430
O7 O 0.203 0.215 0.019
O8 O 0.203 0.285 0.519
O9 O 0.343 0.097 0.306
O10 O 0.343 0.403 0.806
O11 O 0.438 0.121 0.682
O12 O 0.438 0.379 0.182
O13 O 0.562 0.621 0.818
O14 O 0.562 0.879 0.318
O15 O 0.657 0.597 0.194
O16 O 0.657 0.903 0.694
O17 O 0.797 0.715 0.481
O18 O 0.797 0.785 0.981
O19 O 0.823 0.118 0.570
O20 O 0.823 0.382 0.070
O21 O 0.907 0.011 0.304
O22 O 0.907 0.489 0.804
O23 O 0.928 0.145 0.919
O24 O 0.928 0.355 0.419
```